Diffraction record for LaFe2SO. The PXRD pattern is computed, not measured: it uses DFT lattice parameters and positions (GGA+U) and copper Kα.
Lines closer than 0.1° are merged.

Atomic structure:
```
data_LaFe2SO
_cell_length_a 6.492
_cell_length_b 6.492
_cell_length_c 5.271
_cell_angle_alpha 90.00
_cell_angle_beta 90.00
_cell_angle_gamma 90.00
_space_group_name_H-M_alt 'P 4/m m m'
_space_group_IT_number 123
_space_group_name_Hall '-P 4 2'
loop_
_atom_site_label
_atom_site_type_symbol
_atom_site_fract_x
_atom_site_fract_y
_atom_site_fract_z
_atom_site_occupancy
La1 La 0.000 0.000 0.000 1
Fe1 Fe 0.000 0.500 0.000 1
S1 S 0.000 0.000 0.500 1
O1 O 0.500 0.500 0.500 1
```

Main lines, by angle (2θ = 5–70°):
(1 0 0), 2θ = 13.64°, I = 100
(0 0 1), 2θ = 16.82°, I = 54
(1 0 1), 2θ = 21.72°, I = 41
(2 0 0), 2θ = 27.48°, I = 76
(2 1 0), 2θ = 30.80°, I = 28
(2 0 1), 2θ = 32.39°, I = 44
(2 1 1), 2θ = 35.29°, I = 24
(2 2 0), 2θ = 39.25°, I = 28
(2 0 2), 2θ = 44.27°, I = 39
(2 2 2), 2θ = 52.90°, I = 23